This entry pairs a crystal structure of KCeFeMoO6 with its theoretical powder XRD pattern. Radiation: Cu Kα, 1.54184 Å. Structure: DFT lattice parameters and positions (GGA+U).
Lines closer than 0.1° are merged.

Structural model:
```
20
Lattice="5.6894 0.0000 0.0000 0.0000 5.7680 0.0000 -5.4492 0.0000 9.2104" Properties=species:S:1:pos:R:3 pbc="T T T"
K 0.0000 1.3354 0.0000
K -2.7246 4.4326 4.6052
Ce -0.0112 1.4231 5.3241
Ce 2.7134 4.3449 0.7189
Fe -2.9928 1.9178 7.0828
Fe -0.2682 3.8502 2.4776
Mo 3.0163 1.5520 2.5154
Mo 0.2917 4.2160 7.1206
O -1.1975 2.4108 3.7937
O -3.9221 3.3572 8.3989
O 1.3526 0.2915 1.9298
O -1.3721 5.4765 6.5350
O -1.0928 2.5272 6.9244
O 1.6318 3.2408 2.3192
O 1.4083 0.3787 3.4066
O -1.3163 5.3893 8.0118
O 4.0866 2.7919 1.1564
O 1.3620 2.9761 5.7616
O 1.3806 0.3643 6.8119
O 4.1052 5.4037 2.2067
```

The 6 most intense peaks (15 to 90 degrees two-theta), by angle:
2theta	Rel. int.	h k l
18.14	58	1 0 0
18.55	42	1 0 -2
29.09	100	1 1 1
29.64	95	1 1 -3
36.36	36	1 2 -2
44.76	42	2 2 -2